Entry 1:
# Ta2CrSi6
Simulated powder X-ray diffraction pattern, copper Kα. Input: a structure optimized by DFT (PBE).
Lines closer than 0.1° are merged.

The 10 most intense peaks (10 to 80 degrees two-theta), sorted by position:
13.60 deg, I 24; 21.46 deg, I 39; 25.49 deg, I 26; 25.83 deg, I 100; 35.32 deg, I 51; 40.41 deg, I 82; 41.09 deg, I 26; 41.61 deg, I 36; 44.57 deg, I 18; 47.35 deg, I 63

Cell and atoms:
Cell lengths 4.7531, 4.7531, 6.5109 Å; angles 90.00, 90.00, 121.20 degrees
Element x y z (fractional)
Ta  0.0000  0.5000  0.1636
Ta  0.5000  0.0000  0.8364
Cr  0.0000  0.0000  0.5000
Si  0.1780  0.3309  0.8250
Si  0.3309  0.1780  0.1750
Si  0.3407  0.6593  0.5000
Si  0.6593  0.3407  0.5000
Si  0.6691  0.8220  0.1750
Si  0.8220  0.6691  0.8250

=====

Entry 2:
# CrSiTe3
Simulated powder X-ray diffraction pattern, copper Kα. Input: a structure optimized by DFT (PBE).
Lines closer than 0.1° are merged.

The 10 most intense peaks (10 to 80 degrees two-theta), sorted by position:
11.64 deg, I 24; 23.41 deg, I 28; 28.63 deg, I 100; 35.31 deg, I 33; 44.51 deg, I 28; 45.98 deg, I 24; 52.22 deg, I 15; 55.06 deg, I 13; 68.55 deg, I 8; 74.48 deg, I 8

Cell and atoms:
Cell lengths 8.5647, 8.5647, 8.5647 Å; angles 47.06, 47.06, 47.06 degrees
Element x y z (fractional)
Cr  0.1663  0.1663  0.1663
Cr  0.8337  0.8337  0.8337
Si  0.4499  0.4499  0.4499
Si  0.5501  0.5501  0.5501
Te  0.0612  0.7869  0.4252
Te  0.2131  0.5748  0.9388
Te  0.4252  0.0612  0.7869
Te  0.5748  0.9388  0.2131
Te  0.7869  0.4252  0.0612
Te  0.9388  0.2131  0.5748

=====

Entry 3:
# Ti3Cr3Si5
Simulated powder X-ray diffraction pattern, copper Kα. Input: a structure optimized by DFT (PBE).
Lines closer than 0.1° are merged.

The 10 most intense peaks (10 to 80 degrees two-theta), sorted by position:
11.61 deg, I 19; 24.93 deg, I 24; 38.02 deg, I 27; 42.00 deg, I 83; 43.64 deg, I 75; 44.58 deg, I 100; 44.83 deg, I 44; 45.10 deg, I 28; 64.36 deg, I 28; 77.22 deg, I 22

Cell and atoms:
Cell lengths 8.9745, 8.9745, 8.9745 Å; angles 148.02, 126.45, 63.75 degrees
Element x y z (fractional)
Ti  0.1214  0.9062  0.2151
Ti  0.3089  0.0938  0.2151
Ti  0.5000  0.2434  0.7434
Ti  0.5000  0.7566  0.2566
Ti  0.6911  0.9062  0.7849
Ti  0.8786  0.0938  0.7849
Cr  0.0000  0.0000  0.5000
Cr  0.0000  0.5000  0.0000
Cr  0.1440  0.6440  0.5000
Cr  0.5000  0.0000  0.0000
Cr  0.5000  0.5000  0.5000
Cr  0.8560  0.3560  0.5000
Si  0.0000  0.2610  0.2610
Si  0.0000  0.7390  0.7390
Si  0.1865  0.3880  0.7985
Si  0.2204  0.2204  0.0000
Si  0.3172  0.8172  0.5000
Si  0.4105  0.6120  0.7985
Si  0.5895  0.3880  0.2015
Si  0.6828  0.1828  0.5000
Si  0.7796  0.7796  0.0000
Si  0.8135  0.6120  0.2015